1.
AgH6Pd4: computed X-ray diffraction stick pattern (CuKα), based on a crystal structure in Alexandria, relaxed with GGA-PBE.
Peak positions follow from Bragg's law for the DFT cell and can differ from measured ones.

```
AgH6Pd4
1.0
4.6378 0.0000 0.0000
2.1170 4.6208 0.0000
2.2806 1.4128 4.8353
Ag H Pd
1 6 4
direct
0.0000 0.0000 0.0000
0.1384 0.7533 0.6691
0.1764 0.1856 0.1735
0.3255 0.5904 0.1594
0.4771 0.0515 0.4349
0.6374 0.3238 0.5494
0.8058 0.5041 0.7582
0.0572 0.3784 0.4452
0.4017 0.4254 0.8743
0.4266 0.8034 0.3205
0.7181 0.9034 0.6701
```

Largest 10 diffraction maxima, by angle, 2θ = 5–70°:
| d [Å] | I/Imax |
| --- | --- |
| 2.618 | 47 |
| 2.515 | 67 |
| 2.428 | 47 |
| 2.408 | 89 |
| 2.371 | 100 |
| 2.317 | 86 |
| 2.278 | 58 |
| 2.216 | 79 |
| 1.456 | 22 |
| 1.364 | 23 |

***

2.
AgH3Pd7: computed X-ray diffraction stick pattern (CuKα), based on a crystal structure in Alexandria, relaxed with GGA-PBE.
Peak positions follow from Bragg's law for the DFT cell and can differ from measured ones.

```
AgH3Pd7
1.0
4.9860 0.0000 0.0000
1.5844 5.5198 0.0000
1.5681 2.4509 4.9729
Ag H Pd
1 3 7
direct
0.0000 0.0000 0.0000
0.3741 0.4347 0.9402
0.3738 0.9400 0.4359
0.4312 0.9339 0.9348
0.9997 0.4988 0.0015
0.0152 0.4977 0.4979
0.5108 0.2534 0.2535
0.5187 0.2572 0.7327
0.5192 0.7328 0.2574
0.5287 0.7442 0.7444
0.9993 0.0015 0.4986
```

Largest 10 diffraction maxima, by angle, 2θ = 5–70°:
| d [Å] | I/Imax |
| --- | --- |
| 2.366 | 100 |
| 2.349 | 33 |
| 2.065 | 22 |
| 2.053 | 22 |
| 2.018 | 21 |
| 1.461 | 7 |
| 1.451 | 7 |
| 1.446 | 7 |
| 1.440 | 7 |
| 1.435 | 7 |

***

3.
Ag7H6Pd5: computed X-ray diffraction stick pattern (CuKα), based on a crystal structure in Alexandria, relaxed with GGA-PBE.
Peak positions follow from Bragg's law for the DFT cell and can differ from measured ones.

```
Ag7H6Pd5
1.0
8.8366 0.0000 0.0000
0.0000 4.0258 3.1216
0.0000 -4.0258 3.1216
Ag H Pd
7 6 5
direct
0.0000 0.0000 0.0000
0.1677 0.0453 0.5033
0.1677 0.5033 0.0453
0.5000 0.0267 0.4824
0.5000 0.4824 0.0267
0.8323 0.0453 0.5033
0.8323 0.5033 0.0453
0.0000 0.2940 0.2940
0.1824 0.7261 0.7261
0.3177 0.2556 0.2556
0.5000 0.7525 0.7525
0.6823 0.2556 0.2556
0.8176 0.7261 0.7261
0.0000 0.5647 0.5647
0.3343 0.9795 0.9795
0.3370 0.5369 0.5369
0.6630 0.5369 0.5369
0.6657 0.9795 0.9795
```

Largest 10 diffraction maxima, by angle, 2θ = 5–70°:
| d [Å] | I/Imax |
| --- | --- |
| 2.529 | 5 |
| 2.467 | 100 |
| 2.377 | 92 |
| 2.142 | 63 |
| 2.013 | 31 |
| 1.561 | 10 |
| 1.473 | 10 |
| 1.467 | 31 |
| 1.436 | 8 |
| 1.378 | 5 |

***

4.
AgH4Pd2: computed X-ray diffraction stick pattern (CuKα), based on a crystal structure in Alexandria, relaxed with GGA-PBE.
Peak positions follow from Bragg's law for the DFT cell and can differ from measured ones.

```
AgH4Pd2
1.0
4.0138 -4.0975 0.0000
4.0138 4.0975 0.0000
-3.9923 0.0000 4.0237
Ag H Pd
2 8 4
direct
0.1242 0.8758 0.7500
0.8758 0.1242 0.2500
0.2621 0.3072 0.0321
0.2713 0.7262 0.0338
0.2738 0.7287 0.4662
0.3072 0.2621 0.5321
0.6928 0.7379 0.4679
0.7262 0.2713 0.5338
0.7287 0.2738 0.9662
0.7379 0.6928 0.9679
0.0000 0.5000 0.0000
0.5000 0.0000 0.5000
0.5000 0.5000 0.0000
0.5000 0.5000 0.5000
```

Largest 10 diffraction maxima, by angle, 2θ = 5–70°:
| d [Å] | I/Imax |
| --- | --- |
| 4.670 | 14 |
| 2.869 | 56 |
| 2.462 | 100 |
| 2.431 | 96 |
| 2.424 | 96 |
| 2.339 | 56 |
| 2.331 | 54 |
| 1.575 | 25 |
| 1.548 | 23 |
| 1.435 | 55 |

***

5.
Ag2H3Pd10: computed X-ray diffraction stick pattern (CuKα), based on a crystal structure in Alexandria, relaxed with GGA-PBE.
Peak positions follow from Bragg's law for the DFT cell and can differ from measured ones.

```
Ag2H3Pd10
1.0
9.5987 -2.8528 0.0000
9.5987 2.8528 0.0000
-2.9003 0.0000 7.1867
Ag H Pd
4 6 20
direct
0.1247 0.1247 0.2507
0.2364 0.2364 0.8071
0.7636 0.7636 0.1929
0.8753 0.8753 0.7493
0.2321 0.7679 0.5000
0.3192 0.3192 0.4901
0.3793 0.3793 0.2104
0.6207 0.6207 0.7896
0.6808 0.6808 0.5099
0.7679 0.2321 0.5000
0.0000 0.5000 0.5000
0.0141 0.0141 0.6964
0.1085 0.6158 0.0515
0.1385 0.6384 0.4440
0.2507 0.7493 0.0000
0.2640 0.2640 0.1932
0.3616 0.8615 0.5560
0.3763 0.3763 0.7529
0.3842 0.8915 0.9485
0.4867 0.4867 0.3007
0.5000 0.0000 0.5000
0.5133 0.5133 0.6993
0.6158 0.1085 0.0515
0.6237 0.6237 0.2471
0.6384 0.1385 0.4440
0.7360 0.7360 0.8068
0.7493 0.2507 0.0000
0.8615 0.3616 0.5560
0.8915 0.3842 0.9485
0.9859 0.9859 0.3036
```

Largest 10 diffraction maxima, by angle, 2θ = 5–70°:
| d [Å] | I/Imax |
| --- | --- |
| 2.450 | 36 |
| 2.439 | 17 |
| 2.341 | 78 |
| 2.234 | 100 |
| 2.225 | 50 |
| 2.128 | 82 |
| 2.122 | 41 |
| 1.799 | 24 |
| 1.420 | 31 |
| 1.355 | 20 |

***

6.
AgH6Pd8: computed X-ray diffraction stick pattern (CuKα), based on a crystal structure in Alexandria, relaxed with GGA-PBE.
Peak positions follow from Bragg's law for the DFT cell and can differ from measured ones.

```
AgH6Pd8
1.0
5.0872 0.0000 0.0000
-2.5436 4.4057 0.0000
0.0000 0.0000 14.4878
Ag H Pd
2 12 16
direct
0.0000 0.0000 0.0000
0.0000 0.0000 0.5000
0.0000 0.0000 0.2307
0.0000 0.0000 0.7307
0.0000 0.3828 0.0584
0.0000 0.6172 0.5584
0.3333 0.6667 0.3704
0.3333 0.6667 0.8704
0.3828 0.0000 0.0584
0.3828 0.3828 0.5584
0.6172 0.0000 0.5584
0.6172 0.6172 0.0584
0.6667 0.3333 0.3704
0.6667 0.3333 0.8704
0.0000 0.3238 0.8335
0.0000 0.3375 0.1762
0.0000 0.6625 0.6762
0.0000 0.6762 0.3335
0.3238 0.0000 0.8335
0.3238 0.3238 0.3335
0.3333 0.6667 0.0001
0.3333 0.6667 0.5001
0.3375 0.0000 0.1762
0.3375 0.3375 0.6762
0.6625 0.0000 0.6762
0.6625 0.6625 0.1762
0.6667 0.3333 0.0001
0.6667 0.3333 0.5001
0.6762 0.0000 0.3335
0.6762 0.6762 0.8335
```

Largest 10 diffraction maxima, by angle, 2θ = 5–70°:
| d [Å] | I/Imax |
| --- | --- |
| 2.505 | 32 |
| 2.415 | 61 |
| 2.400 | 99 |
| 2.251 | 100 |
| 2.082 | 52 |
| 1.912 | 24 |
| 1.605 | 3 |
| 1.475 | 25 |
| 1.469 | 39 |
| 1.360 | 19 |

***

7.
AgH2Pd8: computed X-ray diffraction stick pattern (CuKα), based on a crystal structure in Alexandria, relaxed with GGA-PBE.
Peak positions follow from Bragg's law for the DFT cell and can differ from measured ones.

```
AgH2Pd8
1.0
4.8601 0.0000 0.0000
1.7209 4.5489 0.0000
1.5173 1.0679 6.9179
Ag H Pd
1 2 8
direct
0.0000 0.0000 0.0000
0.2328 0.2356 0.3220
0.6437 0.6429 0.9102
0.0184 0.5329 0.7685
0.0748 0.0745 0.5669
0.1107 0.6289 0.3682
0.3392 0.3398 0.0572
0.5329 0.0193 0.7694
0.5657 0.5666 0.5709
0.6282 0.1121 0.3685
0.6514 0.6543 0.1547
```

Largest 10 diffraction maxima, by angle, 2θ = 5–70°:
| d [Å] | I/Imax |
| --- | --- |
| 2.565 | 20 |
| 2.388 | 26 |
| 2.335 | 17 |
| 2.298 | 56 |
| 2.254 | 76 |
| 2.248 | 63 |
| 2.239 | 71 |
| 2.159 | 100 |
| 2.000 | 31 |
| 1.382 | 17 |

***

8.
Ag4H5Pd3: computed X-ray diffraction stick pattern (CuKα), based on a crystal structure in Alexandria, relaxed with GGA-PBE.
Peak positions follow from Bragg's law for the DFT cell and can differ from measured ones.

```
Ag4H5Pd3
1.0
4.3786 0.0000 0.0000
-2.0805 4.4830 0.0000
-0.2592 -1.4448 6.7036
Ag H Pd
4 5 3
direct
0.0726 0.1368 0.2059
0.3561 0.7046 0.0697
0.6439 0.2954 0.9303
0.9274 0.8632 0.7941
0.0000 0.0000 0.5000
0.2357 0.5945 0.3996
0.4312 0.8293 0.7304
0.5688 0.1707 0.2696
0.7643 0.4055 0.6004
0.2037 0.4270 0.6431
0.5000 0.0000 0.5000
0.7962 0.5730 0.3569
```

Largest 10 diffraction maxima, by angle, 2θ = 5–70°:
| d [Å] | I/Imax |
| --- | --- |
| 2.461 | 100 |
| 2.409 | 47 |
| 2.390 | 46 |
| 2.187 | 36 |
| 2.186 | 36 |
| 1.964 | 26 |
| 1.579 | 12 |
| 1.515 | 11 |
| 1.465 | 19 |
| 1.457 | 19 |

***

9.
Ag3H2Pd2: computed X-ray diffraction stick pattern (CuKα), based on a crystal structure in Alexandria, relaxed with GGA-PBE.
Peak positions follow from Bragg's law for the DFT cell and can differ from measured ones.

```
Ag3H2Pd2
1.0
2.2178 -5.2997 0.0000
2.2178 5.2997 0.0000
0.0000 0.0000 8.1611
Ag H Pd
6 4 4
direct
0.1035 0.8965 0.8956
0.2500 0.7500 0.6201
0.3965 0.6035 0.8956
0.6035 0.3965 0.1044
0.7500 0.2500 0.3799
0.8965 0.1035 0.1044
0.2500 0.2500 0.5000
0.2500 0.7500 0.2874
0.7500 0.2500 0.7126
0.7500 0.7500 0.5000
0.0889 0.9111 0.3485
0.4111 0.5889 0.3485
0.5889 0.4111 0.6515
0.9111 0.0889 0.6515
```

Largest 10 diffraction maxima, by angle, 2θ = 5–70°:
| d [Å] | I/Imax |
| --- | --- |
| 2.889 | 12 |
| 2.650 | 6 |
| 2.618 | 8 |
| 2.288 | 100 |
| 2.265 | 12 |
| 2.218 | 26 |
| 2.040 | 15 |
| 1.767 | 10 |
| 1.502 | 11 |
| 1.382 | 8 |

***

10.
Ag2H5Pd12: computed X-ray diffraction stick pattern (CuKα), based on a crystal structure in Alexandria, relaxed with GGA-PBE.
Peak positions follow from Bragg's law for the DFT cell and can differ from measured ones.

```
Ag2H5Pd12
1.0
4.6579 -2.7358 0.0000
4.6579 2.7358 0.0000
-2.2556 0.0000 9.3760
Ag H Pd
2 5 12
direct
0.2495 0.7505 0.0000
0.7505 0.2495 0.0000
0.0000 0.0000 0.5000
0.2526 0.2526 0.0123
0.2916 0.2916 0.5527
0.7084 0.7084 0.4473
0.7474 0.7474 0.9877
0.0350 0.5362 0.1486
0.0688 0.0688 0.2835
0.1092 0.6062 0.4286
0.3938 0.8908 0.5714
0.4332 0.4332 0.7160
0.4638 0.9650 0.8514
0.5362 0.0350 0.1486
0.5668 0.5668 0.2840
0.6062 0.1092 0.4286
0.8908 0.3938 0.5714
0.9312 0.9312 0.7165
0.9650 0.4638 0.8514
```

Largest 10 diffraction maxima, by angle, 2θ = 5–70°:
| d [Å] | I/Imax |
| --- | --- |
| 2.736 | 15 |
| 2.363 | 26 |
| 2.341 | 25 |
| 2.329 | 100 |
| 2.314 | 49 |
| 2.210 | 23 |
| 2.204 | 25 |
| 1.774 | 16 |
| 1.547 | 12 |
| 1.348 | 11 |

***

11.
AgH4Pd5: computed X-ray diffraction stick pattern (CuKα), based on a crystal structure in Alexandria, relaxed with GGA-PBE.
Peak positions follow from Bragg's law for the DFT cell and can differ from measured ones.

```
AgH4Pd5
1.0
6.4614 -1.4809 0.0000
6.4614 1.4809 0.0000
-1.5555 0.0000 5.7554
Ag H Pd
1 4 5
direct
0.0000 0.0000 0.0000
0.2473 0.2473 0.8521
0.4123 0.4123 0.4596
0.5877 0.5877 0.5404
0.7527 0.7527 0.1479
0.0000 0.0000 0.5000
0.3328 0.3328 0.6629
0.3366 0.3366 0.1582
0.6634 0.6634 0.8418
0.6672 0.6672 0.3371
```

Largest 9 diffraction maxima, by angle, 2θ = 5–70°:
| d [Å] | I/Imax |
| --- | --- |
| 2.459 | 52 |
| 2.412 | 100 |
| 2.387 | 49 |
| 2.101 | 65 |
| 2.079 | 31 |
| 1.494 | 21 |
| 1.490 | 11 |
| 1.481 | 11 |
| 1.462 | 20 |